Starting from a PBE-relaxed structure, the PXRD pattern of OsPdO3 was simulated for CuKα.
Intensities are scaled so that the largest is 100.

Structural model:
```
data_OsPdO3
_chemical_formula_sum 'Os4 Pd4 O12'
_space_group_name_H-M_alt 'P 1 21/c 1'
_space_group_IT_number 14
_cell_length_a 7.0696
_cell_length_b 5.3898
_cell_length_c 7.1242
_cell_angle_alpha 90.00
_cell_angle_beta 104.40
_cell_angle_gamma 90.00
loop_
_space_group_symop_operation_xyz
'x,y,z'
'-x,-y,-z'
'-x,y+1/2,-z+1/2'
'x,-y+1/2,z+1/2'
loop_
_atom_site_label
_atom_site_type_symbol
_atom_site_fract_x
_atom_site_fract_y
_atom_site_fract_z
Os1 Os 0.0712 0.2486 0.4274
Pd1 Pd 0.4222 0.7185 0.5255
O1 O 0.0512 0.0784 0.6747
O2 O 0.1668 0.5735 0.5532
O3 O 0.3211 0.1221 0.4638
```

Top 6 peaks for 2θ = 15–90°, by angle:
| two_theta | I (rel.) | index |
| --- | --- | --- |
| 25.82 | 93 | 0 0 2 |
| 26.02 | 46 | 2 0 0 |
| 30.78 | 90 | 0 1 2 |
| 30.94 | 100 | 2 1 0 |
| 33.24 | 59 | 0 2 0 |
| 36.10 | 100 | 2 1 -2 |


Starting from a PBE-relaxed structure, the PXRD pattern of Sr2PmOsO8 was simulated for CuKα.
Intensities are scaled so that the largest is 100.

Structural model:
```
data_Sr2PmOsO8
_chemical_formula_sum 'Sr2 Pm1 Os1 O8'
_space_group_name_H-M_alt 'P 1 2/m 1'
_space_group_IT_number 10
_cell_length_a 5.1313
_cell_length_b 6.9808
_cell_length_c 5.2648
_cell_angle_alpha 90.00
_cell_angle_beta 91.28
_cell_angle_gamma 90.00
loop_
_space_group_symop_operation_xyz
'x,y,z'
'-x,-y,-z'
'-x,y,-z'
'x,-y,z'
loop_
_atom_site_label
_atom_site_type_symbol
_atom_site_fract_x
_atom_site_fract_y
_atom_site_fract_z
Sr1 Sr 0.0000 0.2384 0.0000
Pm1 Pm 0.5000 0.5000 0.5000
Os1 Os 0.5000 0.0000 0.5000
O1 O 0.1035 0.5000 0.2854
O2 O 0.1896 0.0000 0.3178
O3 O 0.3809 0.2000 0.7133
```

Top 6 peaks for 2θ = 15–90°, by angle:
| two_theta | I (rel.) | index |
| --- | --- | --- |
| 23.95 | 93 | 1 0 -1 |
| 24.50 | 85 | 1 0 1 |
| 30.74 | 100 | 0 2 1 |
| 30.99 | 67 | 1 2 0 |
| 46.40 | 45 | 1 2 -2 |
| 46.98 | 61 | 1 2 2 |


Starting from a PBE-relaxed structure, the PXRD pattern of TbPm2OsO8 was simulated for CuKα.
Intensities are scaled so that the largest is 100.

Structural model:
```
data_TbPm2OsO8
_chemical_formula_sum 'Tb1 Pm2 Os1 O8'
_space_group_name_H-M_alt 'P 1 2/m 1'
_space_group_IT_number 10
_cell_length_a 5.1476
_cell_length_b 6.9044
_cell_length_c 5.1493
_cell_angle_alpha 90.00
_cell_angle_beta 90.41
_cell_angle_gamma 90.00
loop_
_space_group_symop_operation_xyz
'x,y,z'
'-x,-y,-z'
'-x,y,-z'
'x,-y,z'
loop_
_atom_site_label
_atom_site_type_symbol
_atom_site_fract_x
_atom_site_fract_y
_atom_site_fract_z
Tb1 Tb 0.0000 0.0000 0.0000
Pm1 Pm 0.5000 0.2489 0.5000
Os1 Os 0.0000 0.5000 0.0000
O1 O 0.1791 0.2917 0.8221
O2 O 0.2560 0.5000 0.2575
O3 O 0.3038 0.0000 0.3051
```

Top 6 peaks for 2θ = 15–90°, by angle:
| two_theta | I (rel.) | index |
| --- | --- | --- |
| 24.36 | 58 | 1 0 -1 |
| 24.54 | 53 | 1 0 1 |
| 31.19 | 100 | 1 2 0 |
| 34.85 | 30 | 0 0 2 |
| 47.36 | 40 | 2 2 -1 |
| 47.57 | 36 | 2 2 1 |


Starting from a PBE-relaxed structure, the PXRD pattern of Pm3Tl3OsO8 was simulated for CuKα.
Intensities are scaled so that the largest is 100.

Structural model:
```
data_Pm3Tl3OsO8
_chemical_formula_sum 'Pm3 Tl3 Os1 O8'
_space_group_name_H-M_alt 'P -1'
_space_group_IT_number 2
_cell_length_a 6.9807
_cell_length_b 6.9825
_cell_length_c 7.8157
_cell_angle_alpha 64.98
_cell_angle_beta 64.29
_cell_angle_gamma 60.02
loop_
_space_group_symop_operation_xyz
'x,y,z'
'-x,-y,-z'
loop_
_atom_site_label
_atom_site_type_symbol
_atom_site_fract_x
_atom_site_fract_y
_atom_site_fract_z
Pm1 Pm 0.0000 0.0000 0.0000
Pm2 Pm 0.0000 0.5000 0.0000
Pm3 Pm 0.5000 0.0000 0.0000
Tl1 Tl 0.0000 0.5000 0.5000
Tl2 Tl 0.5000 0.0000 0.5000
Tl3 Tl 0.5000 0.5000 0.5000
Os1 Os 0.5000 0.5000 0.0000
O1 O 0.2205 0.2162 0.8380
O2 O 0.2618 0.6942 0.8418
O3 O 0.3016 0.3052 0.1594
O4 O 0.3024 0.7420 0.1575
```

Top 6 peaks for 2θ = 15–90°, by angle:
| two_theta | I (rel.) | index |
| --- | --- | --- |
| 26.24 | 100 | 0 0 2 |
| 30.65 | 61 | 0 2 0 |
| 30.84 | 60 | 2 0 0 |
| 34.13 | 67 | 2 2 0 |
| 34.52 | 65 | 2 0 2 |
| 34.86 | 62 | 0 2 2 |


Starting from a PBE-relaxed structure, the PXRD pattern of PmTl3Os2O9 was simulated for CuKα.
Intensities are scaled so that the largest is 100.

Structural model:
```
data_PmTl3Os2O9
_chemical_formula_sum 'Pm1 Tl3 Os2 O9'
_space_group_name_H-M_alt 'P -3 m 1'
_space_group_IT_number 164
_space_group_name_Hall '-P 3 2"'
_cell_length_a 5.8398
_cell_length_b 5.8398
_cell_length_c 7.2827
_cell_angle_alpha 90.00
_cell_angle_beta 90.00
_cell_angle_gamma 120.00
loop_
_atom_site_label
_atom_site_type_symbol
_atom_site_fract_x
_atom_site_fract_y
_atom_site_fract_z
Pm1 Pm 0.0000 0.0000 0.0000
Tl1 Tl 0.0000 0.0000 0.5000
Tl2 Tl 0.3333 0.6667 0.1555
Os1 Os 0.3333 0.6667 0.6487
O1 O 0.0000 0.5000 0.5000
O2 O 0.1814 0.3627 0.8013
```

Top 6 peaks for 2θ = 15–90°, by angle:
| two_theta | I (rel.) | index |
| --- | --- | --- |
| 30.24 | 100 | 0 1 2 |
| 30.62 | 96 | 1 1 0 |
| 43.58 | 50 | 2 0 2 |
| 53.49 | 20 | 1 0 4 |
| 54.19 | 40 | 1 2 2 |
| 54.43 | 20 | 3 0 0 |


Starting from a PBE-relaxed structure, the PXRD pattern of PmY2OsO8 was simulated for CuKα.
Intensities are scaled so that the largest is 100.

Structural model:
```
data_PmY2OsO8
_chemical_formula_sum 'Pm2 Y4 Os2 O16'
_space_group_name_H-M_alt 'C m m m'
_space_group_IT_number 65
_space_group_name_Hall '-C 2 2'
_cell_length_a 7.1663
_cell_length_b 7.1913
_cell_length_c 6.8689
_cell_angle_alpha 90.00
_cell_angle_beta 90.00
_cell_angle_gamma 90.00
loop_
_atom_site_label
_atom_site_type_symbol
_atom_site_fract_x
_atom_site_fract_y
_atom_site_fract_z
Pm1 Pm 0.0000 0.0000 0.0000
Y1 Y 0.0000 0.5000 0.2477
Os1 Os 0.0000 0.0000 0.5000
O1 O 0.0000 0.2622 0.5000
O2 O 0.0000 0.3132 0.0000
O3 O 0.1845 0.0000 0.2958
```

Top 6 peaks for 2θ = 15–90°, by angle:
| two_theta | I (rel.) | index |
| --- | --- | --- |
| 17.47 | 20 | 1 1 0 |
| 24.81 | 100 | 2 0 0 |
| 31.45 | 87 | 1 1 2 |
| 35.36 | 24 | 2 2 0 |
| 48.04 | 68 | 3 1 2 |
| 61.05 | 20 | 3 3 2 |


Starting from a PBE-relaxed structure, the PXRD pattern of Pr5Os2O12 was simulated for CuKα.
Intensities are scaled so that the largest is 100.

Structural model:
```
data_Pr5Os2O12
_chemical_formula_sum 'Pr10 Os4 O24'
_space_group_name_H-M_alt 'C 1 2/m 1'
_space_group_IT_number 12
_cell_length_a 12.9289
_cell_length_b 6.0619
_cell_length_c 7.7475
_cell_angle_alpha 90.00
_cell_angle_beta 107.46
_cell_angle_gamma 90.00
loop_
_space_group_symop_operation_xyz
'x,y,z'
'-x,-y,-z'
'-x,y,-z'
'x,-y,z'
'x+1/2,y+1/2,z'
'-x+1/2,-y+1/2,-z'
'-x+1/2,y+1/2,-z'
'x+1/2,-y+1/2,z'
loop_
_atom_site_label
_atom_site_type_symbol
_atom_site_fract_x
_atom_site_fract_y
_atom_site_fract_z
Pr1 Pr 0.0000 0.0000 0.0000
Pr2 Pr 0.1917 0.5000 0.3322
Pr3 Pr 0.1946 0.5000 0.8583
Os1 Os 0.0000 0.2359 0.5000
O1 O 0.0000 0.5000 0.3299
O2 O 0.0006 0.0000 0.6857
O3 O 0.1547 0.2506 0.0772
O4 O 0.1595 0.2557 0.5791
```

Top 6 peaks for 2θ = 15–90°, by angle:
| two_theta | I (rel.) | index |
| --- | --- | --- |
| 26.19 | 96 | 3 1 0 |
| 27.32 | 100 | 1 1 -2 |
| 31.74 | 88 | 2 0 2 |
| 31.91 | 34 | 0 2 1 |
| 38.41 | 43 | 0 2 2 |
| 53.40 | 53 | 6 2 -2 |


Starting from a PBE-relaxed structure, the PXRD pattern of PrTl2OsO8 was simulated for CuKα.
Intensities are scaled so that the largest is 100.

Structural model:
```
data_PrTl2OsO8
_chemical_formula_sum 'Pr2 Tl4 Os2 O16'
_space_group_name_H-M_alt 'C 1 2/m 1'
_space_group_IT_number 12
_cell_length_a 7.3017
_cell_length_b 7.2524
_cell_length_c 6.8880
_cell_angle_alpha 90.00
_cell_angle_beta 93.08
_cell_angle_gamma 90.00
loop_
_space_group_symop_operation_xyz
'x,y,z'
'-x,-y,-z'
'-x,y,-z'
'x,-y,z'
'x+1/2,y+1/2,z'
'-x+1/2,-y+1/2,-z'
'-x+1/2,y+1/2,-z'
'x+1/2,-y+1/2,z'
loop_
_atom_site_label
_atom_site_type_symbol
_atom_site_fract_x
_atom_site_fract_y
_atom_site_fract_z
Pr1 Pr 0.0000 0.0000 0.0000
Tl1 Tl 0.0244 0.5000 0.2510
Os1 Os 0.0000 0.0000 0.5000
O1 O 0.0076 0.1793 0.7017
O2 O 0.1871 0.5000 0.9821
O3 O 0.2389 0.5000 0.4997
```

Top 6 peaks for 2θ = 15–90°, by angle:
| two_theta | I (rel.) | index |
| --- | --- | --- |
| 24.42 | 92 | 2 0 0 |
| 24.55 | 100 | 0 2 0 |
| 30.72 | 96 | 1 1 -2 |
| 31.85 | 83 | 1 1 2 |
| 34.90 | 55 | 2 2 0 |
| 47.25 | 36 | 1 3 -2 |